Computed XRD peak list of Ba2ScAlO5 for CuKα, from the GGA-PBE geometry in Alexandria.
No peak broadening, texture or thermal motion is included.

Top 10 peaks for 10 to 80 degrees two-theta, in order of rising 2θ:
2θ 21.33, I 53, (1 1 -2)
2θ 25.32, I 36, (2 0 3)
2θ 30.09, I 45, (2 0 4)
2θ 30.17, I 30, (1 1 4)
2θ 30.46, I 100, (3 1 0)
2θ 30.67, I 47, (0 2 0)
2θ 40.07, I 22, (2 2 -3)
2θ 40.21, I 22, (2 2 3)
2θ 43.40, I 24, (2 2 -4)
2θ 54.40, I 19, (3 3 0)

Structure:
```
data_Ba2ScAlO5
_chemical_formula_sum 'Ba12 Sc6 Al6 O30'
_space_group_name_H-M_alt 'C 1 m 1'
_space_group_IT_number 8
_cell_length_a 10.1903
_cell_length_b 5.8294
_cell_length_c 14.6547
_cell_angle_alpha 90.00
_cell_angle_beta 90.45
_cell_angle_gamma 90.00
loop_
_space_group_symop_operation_xyz
'x,y,z'
'x,-y,z'
'x+1/2,y+1/2,z'
'x+1/2,-y+1/2,z'
loop_
_atom_site_label
_atom_site_type_symbol
_atom_site_fract_x
_atom_site_fract_y
_atom_site_fract_z
Ba1 Ba 0.0000 0.0000 0.0000
Ba2 Ba 0.0005 0.0000 0.3007
Ba3 Ba 0.1536 0.5000 0.6410
Ba4 Ba 0.1831 0.5000 0.1498
Ba5 Ba 0.3265 0.0000 0.8405
Ba6 Ba 0.3342 0.0000 0.4650
Sc1 Sc 0.1641 0.5000 0.9092
Sc2 Sc 0.1690 0.5000 0.3915
Sc3 Sc 0.4948 0.5000 0.7633
Al1 Al 0.0112 0.0000 0.5270
Al2 Al 0.3554 0.0000 0.0561
Al3 Al 0.3565 0.0000 0.2482
O1 O 0.0089 0.5000 0.9972
O2 O 0.0115 0.5000 0.3078
O3 O 0.0644 0.2578 0.8291
O4 O 0.0773 0.0000 0.6396
O5 O 0.0770 0.2502 0.4766
O6 O 0.2601 0.2331 0.9893
O7 O 0.2635 0.2340 0.3151
O8 O 0.3059 0.5000 0.7909
O9 O 0.3372 0.5000 0.5119
O10 O 0.3836 0.2126 0.1525
```